Record 1
Starting from a cell relaxed with PBE, the powder X-ray diffraction pattern of Cs2NaLiF6 was simulated for copper Kα.

Largest 10 diffraction maxima, in order of rising 2θ, 15° ≤ 2θ ≤ 90°:
d/Å  Position (°2θ)  I/Imax
4.416  20.11  66
3.123  28.58  100
2.550  35.20  73
2.208  40.87  48
1.975  45.95  32
1.803  50.63  40
1.561  59.17  29
1.397  67.01  19
1.332  70.75  24
1.180  81.56  22

Lattice parameters (Å, degrees): 6.246 6.246 6.246 60.00 60.00 60.00
Fractional positions:
Cs1 0.250 0.250 0.250
Cs2 0.750 0.750 0.750
Na1 0.000 0.000 0.000
Li1 0.500 0.500 0.500
F1 0.265 0.265 0.735
F2 0.265 0.735 0.265
F3 0.265 0.735 0.735
F4 0.735 0.265 0.265
F5 0.735 0.265 0.735
F6 0.735 0.735 0.265


Record 2
Starting from a cell relaxed with PBE, the powder X-ray diffraction pattern of Cs2LiNdF6 was simulated for copper Kα.

Largest 10 diffraction maxima, in order of rising 2θ, 15° ≤ 2θ ≤ 90°:
d/Å  Position (°2θ)  I/Imax
5.244  16.91  30
3.211  27.78  100
2.738  32.70  19
2.622  34.20  15
2.271  39.70  39
2.084  43.43  9
1.854  49.14  42
1.606  57.39  25
1.436  64.94  19
1.214  78.87  22

Lattice parameters (Å, degrees): 6.422 6.422 6.422 60.00 60.00 60.00
Fractional positions:
Cs1 0.250 0.250 0.250
Cs2 0.750 0.750 0.750
Li1 0.000 0.000 0.000
Nd1 0.500 0.500 0.500
F1 0.247 0.247 0.753
F2 0.247 0.753 0.247
F3 0.247 0.753 0.753
F4 0.753 0.247 0.247
F5 0.753 0.247 0.753
F6 0.753 0.753 0.247


Record 3
Starting from a cell relaxed with PBE, the powder X-ray diffraction pattern of Cs2LiPrF6 was simulated for copper Kα.

Largest 10 diffraction maxima, in order of rising 2θ, 15° ≤ 2θ ≤ 90°:
d/Å  Position (°2θ)  I/Imax
5.261  16.85  29
3.222  27.69  100
2.747  32.59  19
2.630  34.09  16
2.278  39.56  39
2.090  43.28  9
1.860  48.97  42
1.611  57.19  25
1.441  64.70  19
1.218  78.56  22

Lattice parameters (Å, degrees): 6.443 6.443 6.443 60.00 60.00 60.00
Fractional positions:
Cs1 0.250 0.250 0.250
Cs2 0.750 0.750 0.750
Li1 0.000 0.000 0.000
Pr1 0.500 0.500 0.500
F1 0.245 0.245 0.755
F2 0.245 0.755 0.245
F3 0.245 0.755 0.755
F4 0.755 0.245 0.245
F5 0.755 0.245 0.755
F6 0.755 0.755 0.245


Record 4
Starting from a cell relaxed with PBE, the powder X-ray diffraction pattern of Cs2LiScF6 was simulated for copper Kα.

Largest 10 diffraction maxima, in order of rising 2θ, 15° ≤ 2θ ≤ 90°:
d/Å  Position (°2θ)  I/Imax
4.396  20.20  44
3.108  28.72  100
2.538  35.37  55
2.198  41.07  45
1.966  46.18  22
1.795  50.88  40
1.554  59.48  27
1.390  67.37  19
1.325  71.14  18
1.175  82.02  22

Lattice parameters (Å, degrees): 6.217 6.217 6.217 60.00 60.00 60.00
Fractional positions:
Cs1 0.250 0.250 0.250
Cs2 0.750 0.750 0.750
Li1 0.000 0.000 0.000
Sc1 0.500 0.500 0.500
F1 0.265 0.265 0.735
F2 0.265 0.735 0.265
F3 0.265 0.735 0.735
F4 0.735 0.265 0.265
F5 0.735 0.265 0.735
F6 0.735 0.735 0.265


Record 5
Starting from a cell relaxed with PBE, the powder X-ray diffraction pattern of Cs2LiTaF6 was simulated for copper Kα.

Largest 10 diffraction maxima, in order of rising 2θ, 15° ≤ 2θ ≤ 90°:
d/Å  Position (°2θ)  I/Imax
5.090  17.42  44
3.117  28.64  100
2.658  33.72  23
2.204  40.95  36
2.022  44.81  10
1.800  50.73  42
1.697  54.05  9
1.558  59.30  23
1.394  67.16  19
1.178  81.75  22

Lattice parameters (Å, degrees): 6.234 6.234 6.234 60.00 60.00 60.00
Fractional positions:
Cs1 0.250 0.250 0.250
Cs2 0.750 0.750 0.750
Li1 0.000 0.000 0.000
Ta1 0.500 0.500 0.500
F1 0.259 0.259 0.741
F2 0.259 0.741 0.259
F3 0.259 0.741 0.741
F4 0.741 0.259 0.259
F5 0.741 0.259 0.741
F6 0.741 0.741 0.259


Record 6
Starting from a cell relaxed with PBE, the powder X-ray diffraction pattern of Cs2LiYF6 was simulated for copper Kα.

Largest 10 diffraction maxima, in order of rising 2θ, 15° ≤ 2θ ≤ 90°:
d/Å  Position (°2θ)  I/Imax
5.174  17.14  18
4.481  19.81  17
3.168  28.16  100
2.587  34.67  31
2.240  40.25  42
1.829  49.85  41
1.584  58.24  26
1.417  65.92  18
1.351  69.59  10
1.198  80.14  22

Lattice parameters (Å, degrees): 6.337 6.337 6.337 60.00 60.00 60.00
Fractional positions:
Cs1 0.250 0.250 0.250
Cs2 0.750 0.750 0.750
Li1 0.000 0.000 0.000
Y1 0.500 0.500 0.500
F1 0.253 0.253 0.747
F2 0.253 0.747 0.253
F3 0.253 0.747 0.747
F4 0.747 0.253 0.253
F5 0.747 0.253 0.747
F6 0.747 0.747 0.253


Record 7
Starting from a cell relaxed with PBE, the powder X-ray diffraction pattern of CsLu4F13 was simulated for copper Kα.

Largest 10 diffraction maxima, in order of rising 2θ, 15° ≤ 2θ ≤ 90°:
d/Å  Position (°2θ)  I/Imax
4.315  20.58  40
3.671  24.25  21
3.654  24.36  22
3.462  25.74  100
2.938  30.42  15
2.707  33.09  12
2.158  41.87  14
1.997  45.42  21
1.835  49.67  16
1.828  49.88  13

Lattice parameters (Å, degrees): 7.987 7.987 17.261 90.38 90.38 60.19
Fractional positions:
Cs1 0.000 0.000 0.000
Cs2 0.000 0.000 0.258
Cs3 0.001 0.001 0.517
Lu1 0.512 0.984 0.876
Lu2 0.514 0.986 0.128
Lu3 0.514 0.986 0.378
Lu4 0.515 0.515 0.130
Lu5 0.515 0.515 0.375
Lu6 0.515 0.515 0.888
Lu7 0.516 0.987 0.629
Lu8 0.517 0.517 0.617
Lu9 0.984 0.512 0.876
Lu10 0.986 0.514 0.128
Lu11 0.986 0.514 0.378
Lu12 0.987 0.516 0.629
F1 0.221 0.221 0.622
F2 0.222 0.222 0.127
F3 0.222 0.222 0.377
F4 0.222 0.222 0.881
F5 0.223 0.569 0.375
F6 0.223 0.570 0.126
F7 0.227 0.567 0.873
F8 0.230 0.565 0.628
F9 0.336 0.838 0.387
F10 0.336 0.839 0.138
F11 0.348 0.826 0.640
F12 0.350 0.830 0.898
F13 0.511 0.996 0.752
F14 0.512 0.512 0.006
F15 0.512 0.512 0.499
F16 0.514 0.514 0.252
F17 0.516 0.991 0.002
F18 0.516 0.992 0.503
F19 0.517 0.989 0.253
F20 0.565 0.230 0.628
F21 0.567 0.227 0.873
F22 0.569 0.223 0.375
F23 0.570 0.223 0.126
F24 0.660 0.660 0.834
F25 0.671 0.671 0.105
F26 0.672 0.672 0.355
F27 0.673 0.673 0.599
F28 0.826 0.348 0.640
F29 0.826 0.826 0.893
F30 0.830 0.350 0.898
F31 0.838 0.336 0.387
F32 0.839 0.336 0.138
F33 0.839 0.839 0.634
F34 0.840 0.840 0.137
F35 0.840 0.840 0.388
F36 0.989 0.517 0.253
F37 0.991 0.516 0.002
F38 0.992 0.516 0.503
F39 0.996 0.511 0.752


Record 8
Starting from a cell relaxed with PBE, the powder X-ray diffraction pattern of CsLu3F10 was simulated for copper Kα.

Largest 10 diffraction maxima, in order of rising 2θ, 15° ≤ 2θ ≤ 90°:
d/Å  Position (°2θ)  I/Imax
4.267  20.82  48
3.773  23.58  20
3.601  24.72  23
3.459  25.75  100
3.357  26.55  40
3.289  27.11  53
2.688  33.34  19
2.134  42.36  24
1.957  46.39  21
1.816  50.24  33

Lattice parameters (Å, degrees): 7.955 7.955 16.146 90.00 90.00 115.12
Fractional positions:
Cs1 0.000 0.000 0.000
Cs2 0.000 0.000 0.500
Cs3 0.500 0.500 0.000
Cs4 0.500 0.500 0.500
Lu1 0.020 0.476 0.114
Lu2 0.024 0.480 0.386
Lu3 0.247 0.253 0.750
Lu4 0.253 0.247 0.250
Lu5 0.476 0.020 0.886
Lu6 0.480 0.024 0.614
Lu7 0.520 0.976 0.386
Lu8 0.524 0.980 0.114
Lu9 0.747 0.753 0.750
Lu10 0.753 0.747 0.250
Lu11 0.976 0.520 0.614
Lu12 0.980 0.524 0.886
F1 0.003 0.997 0.770
F2 0.068 0.432 0.250
F3 0.082 0.345 0.673
F4 0.088 0.411 0.987
F5 0.089 0.412 0.513
F6 0.155 0.418 0.827
F7 0.175 0.306 0.371
F8 0.194 0.325 0.129
F9 0.212 0.788 0.894
F10 0.226 0.774 0.613
F11 0.274 0.726 0.113
F12 0.288 0.712 0.394
F13 0.306 0.175 0.629
F14 0.325 0.194 0.871
F15 0.345 0.082 0.327
F16 0.411 0.088 0.013
F17 0.412 0.089 0.487
F18 0.418 0.155 0.173
F19 0.432 0.068 0.750
F20 0.497 0.503 0.270
F21 0.503 0.497 0.730
F22 0.568 0.932 0.250
F23 0.582 0.845 0.827
F24 0.588 0.911 0.513
F25 0.589 0.912 0.987
F26 0.655 0.918 0.673
F27 0.675 0.806 0.129
F28 0.694 0.825 0.371
F29 0.712 0.288 0.606
F30 0.726 0.274 0.887
F31 0.774 0.226 0.387
F32 0.788 0.212 0.106
F33 0.806 0.675 0.871
F34 0.825 0.694 0.629
F35 0.845 0.582 0.173
F36 0.911 0.588 0.487
F37 0.912 0.589 0.013
F38 0.918 0.655 0.327
F39 0.932 0.568 0.750
F40 0.997 0.003 0.230


Record 9
Starting from a cell relaxed with PBE, the powder X-ray diffraction pattern of Cs4Mg3F10 was simulated for copper Kα.

Largest 10 diffraction maxima, in order of rising 2θ, 15° ≤ 2θ ≤ 90°:
d/Å  Position (°2θ)  I/Imax
3.606  24.69  17
3.475  25.64  30
3.376  26.40  100
3.117  28.64  32
2.970  30.09  19
2.530  35.48  15
2.381  37.78  20
2.320  38.81  35
1.987  45.66  13
1.845  49.40  19

Lattice parameters (Å, degrees): 8.013 8.013 13.900 90.00 90.00 134.23
Fractional positions:
Cs1 0.051 0.949 0.861
Cs2 0.247 0.753 0.608
Cs3 0.253 0.747 0.108
Cs4 0.449 0.551 0.361
Cs5 0.551 0.449 0.639
Cs6 0.747 0.253 0.892
Cs7 0.753 0.247 0.392
Cs8 0.949 0.051 0.139
Mg1 0.000 0.000 0.500
Mg2 0.117 0.883 0.342
Mg3 0.383 0.617 0.842
Mg4 0.500 0.500 0.000
Mg5 0.617 0.383 0.158
Mg6 0.883 0.117 0.658
F1 0.026 0.974 0.643
F2 0.113 0.306 0.540
F3 0.140 0.360 0.750
F4 0.194 0.387 0.960
F5 0.248 0.752 0.350
F6 0.252 0.748 0.850
F7 0.306 0.113 0.460
F8 0.360 0.140 0.250
F9 0.387 0.194 0.040
F10 0.474 0.526 0.143
F11 0.526 0.474 0.857
F12 0.613 0.806 0.960
F13 0.640 0.860 0.750
F14 0.694 0.887 0.540
F15 0.748 0.252 0.150
F16 0.752 0.248 0.650
F17 0.806 0.613 0.040
F18 0.860 0.640 0.250
F19 0.887 0.694 0.460
F20 0.974 0.026 0.357


Record 10
Starting from a cell relaxed with PBE, the powder X-ray diffraction pattern of Cs2NaNF6 was simulated for copper Kα.

Largest 10 diffraction maxima, in order of rising 2θ, 15° ≤ 2θ ≤ 90°:
d/Å  Position (°2θ)  I/Imax
4.351  20.41  51
3.077  29.02  100
2.512  35.74  58
2.176  41.51  42
1.946  46.68  29
1.776  51.44  36
1.538  60.15  24
1.376  68.15  20
1.312  71.98  17
1.163  83.05  22

Lattice parameters (Å, degrees): 6.153 6.153 6.153 60.00 60.00 60.00
Fractional positions:
Cs1 0.250 0.250 0.250
Cs2 0.750 0.750 0.750
Na1 0.000 0.000 0.000
N1 0.500 0.500 0.500
F1 0.285 0.285 0.715
F2 0.285 0.715 0.285
F3 0.285 0.715 0.715
F4 0.715 0.285 0.285
F5 0.715 0.285 0.715
F6 0.715 0.715 0.285